Record 1
Structure and calculated X-ray diffraction stick pattern of NdHoAu (a DFT-relaxed cell (GGA-PBE, Alexandria); CuKα).
Neutral-atom scattering factors, no anomalous dispersion.

Top 10 peaks for 2θ from 15° to 90°, low angle first:
d (Å), two_theta, I (rel.)
3.096, 28.8, 58
3.021, 29.6, 61
2.963, 30.2, 47
2.917, 30.6, 39
2.816, 31.8, 65
2.684, 33.4, 78
2.527, 35.5, 38
2.482, 36.2, 100
2.282, 39.5, 57
1.680, 54.6, 33

Cell and atoms:
abc: 7.392 4.964 13.701
angles: 90.00 92.54 90.00
Space group P2_1/m (No. 11)
Inequivalent atoms, fractional coordinates:
Nd1 0.003 0.250 0.285 [2 per cell]
Nd2 0.387 0.250 0.080 [2 per cell]
Nd3 0.482 0.250 0.376 [2 per cell]
Ho1 0.040 0.750 0.087 [2 per cell]
Ho2 0.140 0.750 0.455 [2 per cell]
Ho3 0.339 0.250 0.781 [2 per cell]
Au1 0.212 0.750 0.903 [2 per cell]
Au2 0.252 0.250 0.565 [2 per cell]
Au3 0.281 0.750 0.257 [2 per cell]

Record 2
Structure and calculated X-ray diffraction stick pattern of B9C (a DFT-relaxed cell (GGA-PBE, Alexandria); CuKα).
Neutral-atom scattering factors, no anomalous dispersion.

Top 10 peaks for 2θ from 15° to 90°, low angle first:
d (Å), two_theta, I (rel.)
4.492, 19.8, 20
2.854, 31.3, 75
2.438, 36.9, 100
2.246, 40.2, 39
1.430, 65.2, 11
1.398, 66.9, 20
1.389, 67.4, 41
1.376, 68.2, 31
1.317, 71.7, 11
1.299, 72.8, 11

Cell and atoms:
abc: 2.796 10.451 4.974
angles: 90.00 90.00 90.00
Space group Imm2 (No. 44)
Inequivalent atoms, fractional coordinates:
B1 0.000 0.000 0.000 [2 per cell]
B2 0.000 0.082 0.337 [4 per cell]
B3 0.000 0.206 0.532 [4 per cell]
B4 0.000 0.224 0.172 [4 per cell]
B5 0.000 0.390 0.114 [4 per cell]
C1 0.000 0.500 0.342 [2 per cell]

Record 3
Structure and calculated X-ray diffraction stick pattern of Pu2AlTc3 (a DFT-relaxed cell (GGA-PBE, Alexandria); CuKα).
Neutral-atom scattering factors, no anomalous dispersion.

Top 10 peaks for 2θ from 15° to 90°, low angle first:
d (Å), two_theta, I (rel.)
4.404, 20.2, 40
2.716, 33.0, 100
2.679, 33.5, 38
2.639, 34.0, 39
2.319, 38.8, 34
2.313, 38.9, 41
2.295, 39.3, 61
2.273, 39.6, 28
2.265, 39.8, 35
2.233, 40.4, 32

Cell and atoms:
abc: 9.053 5.438 5.362
angles: 90.00 123.98 90.00
Space group C2/m (No. 12)
Inequivalent atoms, fractional coordinates:
Pu1 0.118 0.000 0.365 [4 per cell]
Al1 0.000 0.500 0.500 [2 per cell]
Tc1 0.000 0.500 0.000 [2 per cell]
Tc2 0.250 0.250 0.000 [4 per cell]

Record 4
Structure and calculated X-ray diffraction stick pattern of LiInCu3 (a DFT-relaxed cell (GGA-PBE, Alexandria); CuKα).
Neutral-atom scattering factors, no anomalous dispersion.

Top 10 peaks for 2θ from 15° to 90°, low angle first:
d (Å), two_theta, I (rel.)
4.020, 22.1, 45
3.695, 24.1, 24
3.036, 29.4, 42
2.282, 39.5, 69
2.174, 41.5, 80
2.157, 41.9, 79
2.131, 42.4, 60
2.109, 42.9, 100
1.469, 63.3, 21
1.154, 83.9, 20

Cell and atoms:
abc: 5.056 12.136 5.102
angles: 90.00 114.07 90.00
Space group C2/c (No. 15)
Inequivalent atoms, fractional coordinates:
Li1 0.000 0.144 0.250 [4 per cell]
In1 0.000 0.248 0.750 [4 per cell]
Cu1 0.000 0.356 0.250 [4 per cell]
Cu2 0.250 0.032 0.989 [8 per cell]

Record 5
Structure and calculated X-ray diffraction stick pattern of NdPuTe3 (a DFT-relaxed cell (GGA-PBE, Alexandria); CuKα).
Neutral-atom scattering factors, no anomalous dispersion.

Top 10 peaks for 2θ from 15° to 90°, low angle first:
d (Å), two_theta, I (rel.)
4.156, 21.4, 26
3.599, 24.7, 18
3.277, 27.2, 37
3.019, 29.6, 26
2.782, 32.2, 100
2.630, 34.1, 18
2.504, 35.9, 18
2.490, 36.1, 32
2.193, 41.2, 25
1.933, 47.0, 15

Cell and atoms:
abc: 4.385 7.733 9.857
angles: 90.00 90.00 90.00
Space group Pmmn (No. 59, origin choice 2)
Inequivalent atoms, fractional coordinates:
Nd1 0.250 0.250 0.100 [2 per cell]
Pu1 0.250 0.750 0.345 [2 per cell]
Te1 0.250 0.025 0.823 [4 per cell]
Te2 0.250 0.250 0.436 [2 per cell]

Record 6
Structure and calculated X-ray diffraction stick pattern of Ce6SiPb2 (a DFT-relaxed cell (GGA-PBE, Alexandria); CuKα).
Neutral-atom scattering factors, no anomalous dispersion.

Top 10 peaks for 2θ from 15° to 90°, low angle first:
d (Å), two_theta, I (rel.)
4.834, 18.4, 14
3.058, 29.2, 100
2.792, 32.1, 53
2.585, 34.7, 51
2.417, 37.2, 29
2.280, 39.5, 42
1.766, 51.8, 53
1.492, 62.2, 42
1.426, 65.4, 20
1.095, 89.5, 24

Cell and atoms:
abc: 7.8975 7.8975 4.8343
angles: 90.00 90.00 120.00
Space group P-62m (No. 189)
Inequivalent atoms, fractional coordinates:
Ce1 0.0000 0.4077 0.0000 [3 per cell]
Ce2 0.0000 0.7976 0.5000 [3 per cell]
Si1 0.0000 0.0000 0.0000 [1 per cell]
Pb1 0.3333 0.6667 0.5000 [2 per cell]

Record 7
Structure and calculated X-ray diffraction stick pattern of Sc2Cd3Cu (a DFT-relaxed cell (GGA-PBE, Alexandria); CuKα).
Neutral-atom scattering factors, no anomalous dispersion.

Top 10 peaks for 2θ from 15° to 90°, low angle first:
d (Å), two_theta, I (rel.)
4.090, 21.7, 20
3.183, 28.0, 38
2.513, 35.7, 100
2.369, 38.0, 77
2.358, 38.2, 40
1.900, 47.9, 34
1.895, 48.0, 17
1.721, 53.2, 19
1.363, 68.9, 12
1.321, 71.4, 22

Cell and atoms:
abc: 3.183 4.716 8.220
angles: 90.00 90.00 90.00
Space group Pmm2 (No. 25)
Inequivalent atoms, fractional coordinates:
Sc1 0.000 0.000 0.000 [1 per cell]
Sc2 0.000 0.500 0.462 [1 per cell]
Cd1 0.500 0.000 0.629 [1 per cell]
Cd2 0.500 0.500 0.152 [1 per cell]
Cd3 0.500 0.500 0.811 [1 per cell]
Cu1 0.500 0.000 0.307 [1 per cell]

Record 8
Structure and calculated X-ray diffraction stick pattern of KMgPH12O10 (a DFT-relaxed cell (GGA-PBE, Alexandria); CuKα).
Neutral-atom scattering factors, no anomalous dispersion.

Top 10 peaks for 2θ from 15° to 90°, low angle first:
d (Å), two_theta, I (rel.)
5.606, 15.8, 24
4.256, 20.9, 100
4.142, 21.5, 49
3.290, 27.1, 54
2.964, 30.1, 24
2.916, 30.7, 68
2.804, 31.9, 42
2.695, 33.2, 41
2.659, 33.7, 62
2.016, 45.0, 26

Cell and atoms:
abc: 6.934 6.148 11.213
angles: 90.00 90.00 90.00
Space group Pmn2_1 (No. 31)
Inequivalent atoms, fractional coordinates:
K1 0.000 0.121 0.000 [2 per cell]
Mg1 0.000 0.131 0.650 [2 per cell]
P1 0.000 0.492 0.276 [2 per cell]
H1 0.000 0.680 0.615 [2 per cell]
H2 0.000 0.776 0.482 [2 per cell]
H3 0.118 0.516 0.767 [4 per cell]
H4 0.176 0.665 0.079 [4 per cell]
H5 0.179 0.872 0.295 [4 per cell]
H6 0.205 0.294 0.458 [4 per cell]
H7 0.249 0.120 0.285 [4 per cell]
O1 0.000 0.456 0.726 [2 per cell]
O2 0.000 0.510 0.138 [2 per cell]
O3 0.000 0.724 0.334 [2 per cell]
O4 0.000 0.817 0.568 [2 per cell]
O5 0.185 0.371 0.319 [4 per cell]
O6 0.206 0.034 0.775 [4 per cell]
O7 0.229 0.233 0.540 [4 per cell]